This entry pairs a crystal structure of Pr3MoO7 with its computed powder X-ray diffraction pattern. Radiation: λ = 1.5418 Å (Cu Kα). Structure: a structure optimized by DFT (GGA+U).
Peak positions follow from Bragg's law for the DFT cell and can differ from measured ones.

```
44
Lattice="7.6939 0.0000 0.0000 0.0000 7.7814 0.0000 0.0000 0.0000 11.0567" Properties=species:S:1:pos:R:3 pbc="T T T"
Pr 0.0058 0.3261 3.0552
Pr 0.0089 4.2782 8.5288
Pr 1.8339 1.6125 0.0388
Pr 2.0130 6.1690 5.5671
Pr 3.8380 3.5033 3.0004
Pr 3.8412 7.4554 8.5836
Pr 3.8527 3.5647 8.0015
Pr 3.8559 7.3940 2.5279
Pr 5.6809 2.2782 11.0179
Pr 5.8600 5.5032 5.4896
Pr 7.6850 0.3874 8.0563
Pr 7.6881 4.2168 2.4731
Mo 1.8925 1.9584 5.5190
Mo 1.9544 5.8230 11.0474
Mo 5.7395 1.9323 5.5377
Mo 5.8014 5.8491 0.0093
O 0.0017 2.1761 9.5870
O 7.6922 6.0669 6.9981
O 0.0290 5.3417 11.0069
O 0.0811 5.9482 4.0670
O 1.6009 3.0699 3.9540
O 1.6480 3.3095 6.9099
O 1.6718 7.3247 1.3776
O 1.6716 7.4210 9.7252
O 2.1754 0.3604 4.1969
O 2.1752 0.4567 6.9059
O 2.1989 4.4719 1.3815
O 2.2460 4.7115 9.4824
O 3.7658 1.8332 9.5953
O 3.8180 2.4398 5.4786
O 3.8486 1.7146 1.4697
O 3.8453 5.6053 4.0586
O 3.8759 6.3305 0.0498
O 3.9281 5.7239 6.9897
O 5.4479 0.8208 7.1027
O 5.4950 0.5812 4.1468
O 5.5185 4.2512 1.3315
O 5.5187 4.3474 9.6791
O 6.0221 3.4340 4.1508
O 6.0223 3.5303 6.8598
O 6.0459 7.2003 9.6752
O 6.0930 6.9607 1.5743
O 7.6128 2.0575 1.4614
O 7.6650 1.4510 5.5781
```

Peak list (10 most intense, 10° ≤ 2θ ≤ 80°, sorted by position)
- 2θ 25.66, I = 12, (1 2 0)
- 2θ 28.04, I = 87, (0 2 2)
- 2θ 28.26, I = 100, (2 0 2)
- 2θ 30.40, I = 11, (1 2 2)
- 2θ 32.39, I = 22, (0 0 4)
- 2θ 32.74, I = 39, (2 2 0)
- 2θ 46.72, I = 49, (2 2 4)
- 2θ 47.26, I = 18, (4 0 0)
- 2θ 51.18, I = 12, (1 4 2)
- 2θ 55.86, I = 26, (4 2 2)